Diffraction record for AlSe5. The XRD peak list is simulated, not measured: it uses a PBE-relaxed structure and λ = 1.5418 Å (Cu Kα).

Top 6 peaks for 10° ≤ 2θ ≤ 90°, sorted by position:
| 2theta | I (rel.) | h k l |
| --- | --- | --- |
| 13.50 | 25 | 2 0 0 |
| 20.22 | 39 | 2 0 1 |
| 31.56 | 52 | 2 0 2 |
| 34.06 | 100 | 3 1 -1 |
| 46.64 | 42 | 5 1 1 |
| 47.58 | 21 | 1 1 -3 |

```
12
Lattice="13.264 0.000 0.000 0.000 3.536 0.000 -0.997 0.000 6.744" Properties=species:S:1:pos:R:3 pbc="T T T"
Al 0.000 0.000 0.000
Al 6.632 1.768 0.000
Se 0.546 1.768 5.551
Se 1.241 0.000 2.245
Se 2.955 1.768 1.618
Se 4.943 0.000 0.105
Se 5.935 0.000 3.500
Se 7.178 0.000 5.551
Se 7.873 1.768 2.245
Se 9.587 0.000 1.618
Se 11.575 1.768 0.105
Se 12.567 1.768 3.500
```